No. 1
Structure and theoretical powder diffractogram of FeNi3Sn (DFT lattice parameters and positions (PBE); Cu Kα).

Structure:
```
FeNi3Sn
1.0
4.3474 0.0000 0.0000
0.0000 4.3474 0.0000
0.0000 0.0000 4.3474
Fe Ni Sn
1 3 1
Direct
0.0000 0.0000 0.0000
0.0000 0.0000 0.5000
0.0000 0.5000 0.0000
0.5000 0.0000 0.0000
0.5000 0.5000 0.5000
```

Most intense lines, 2θ from 5° to 70°, in order of rising 2θ:
| Position (°2θ) | Rel. int. | index |
| --- | --- | --- |
| 29.05 | 49 | 1 1 0 |
| 35.77 | 96 | 1 1 1 |
| 41.55 | 100 | 2 0 0 |
| 51.49 | 21 | 2 1 1 |
| 60.21 | 64 | 2 2 0 |
| 68.22 | 9 | 3 1 0 |

=====

No. 2
Structure and theoretical powder diffractogram of ErNiPb (DFT lattice parameters and positions (PBE); Cu Kα).

Structure:
```
ErNiPb
1.0
7.1344 0.0000 0.0000
0.0000 4.5367 0.0000
0.0000 0.0000 7.8145
Er Ni Pb
4 4 4
Direct
0.0121 0.2500 0.2000
0.4879 0.7500 0.7000
0.5121 0.2500 0.3000
0.9879 0.7500 0.8000
0.2148 0.7500 0.4157
0.2852 0.2500 0.9157
0.7148 0.7500 0.0843
0.7852 0.2500 0.5843
0.1878 0.2500 0.5865
0.3122 0.7500 0.0865
0.6878 0.2500 0.9135
0.8122 0.7500 0.4135
```

Most intense lines, 2θ from 5° to 70°, in order of rising 2θ:
| Position (°2θ) | Rel. int. | index |
| --- | --- | --- |
| 25.95 | 36 | 1 0 2 |
| 32.75 | 37 | 1 1 2 |
| 33.98 | 100 | 2 1 1 |
| 39.61 | 22 | 3 0 1 |
| 39.74 | 33 | 0 2 0 |
| 39.91 | 46 | 0 1 3 |

=====

Copy entry 1 word for word.
Structure and theoretical powder diffractogram of FeNi3Sn (DFT lattice parameters and positions (PBE); Cu Kα).

Structure:
```
FeNi3Sn
1.0
4.3474 0.0000 0.0000
0.0000 4.3474 0.0000
0.0000 0.0000 4.3474
Fe Ni Sn
1 3 1
Direct
0.0000 0.0000 0.0000
0.0000 0.0000 0.5000
0.0000 0.5000 0.0000
0.5000 0.0000 0.0000
0.5000 0.5000 0.5000
```

Most intense lines, 2θ from 5° to 70°, in order of rising 2θ:
| Position (°2θ) | Rel. int. | index |
| --- | --- | --- |
| 29.05 | 49 | 1 1 0 |
| 35.77 | 96 | 1 1 1 |
| 41.55 | 100 | 2 0 0 |
| 51.49 | 21 | 2 1 1 |
| 60.21 | 64 | 2 2 0 |
| 68.22 | 9 | 3 1 0 |